# 1
Simulated XRD peak list of NaPt2F8 for Cu Kα X-rays, from a structure optimized by DFT (GGA-PBE).

Main lines, low angle first (10° ≤ 2θ ≤ 90°):
2θ/deg  d_spacing  Rel. int.
14.4  6.155  505
25.1  3.554  802
25.9  3.444  1000
29.0  3.077  207
44.1  2.052  179
44.6  2.030  450
50.9  1.793  186
51.4  1.777  207
58.4  1.579  213
69.6  1.351  195

Crystal structure
abc: 7.1072 7.1072 4.1547
angles: 90.00 90.00 120.00
Space group P-3m1 (No. 164)
Unique sites:
1 Na 0.0000 0.0000 0.0000 [1 per cell]
2 Pt 0.3333 0.6667 0.7490 [2 per cell]
3 F 0.1721 0.3443 0.7462 [6 per cell]
4 F 0.3333 0.6667 0.2487 [2 per cell]


# 2
Simulated XRD peak list of NaPu2F6 for Cu Kα X-rays, from a structure optimized by DFT (GGA-PBE).

Main lines, low angle first (10° ≤ 2θ ≤ 90°):
2θ/deg  d_spacing  Rel. int.
10.2  8.645  253
20.5  4.322  169
22.5  3.947  340
26.9  3.316  1000
31.2  2.866  198
37.7  2.389  144
42.9  2.109  143
44.6  2.032  375
44.7  2.027  201
52.9  1.729  346

Crystal structure
abc: 4.0538 4.0538 17.2897
angles: 90.00 90.00 90.00
Space group I4/mmm (No. 139)
Unique sites:
1 Na 0.0000 0.0000 0.0000 [2 per cell]
2 Pu 0.0000 0.0000 0.3416 [4 per cell]
3 F 0.0000 0.5000 0.0851 [8 per cell]
4 F 0.0000 0.5000 0.2500 [4 per cell]


# 3
Simulated XRD peak list of Na2Pu3F8 for Cu Kα X-rays, from a structure optimized by DFT (GGA-PBE).

Main lines, low angle first (10° ≤ 2θ ≤ 90°):
2θ/deg  d_spacing  Rel. int.
14.2  6.232  1000
26.6  3.349  331
27.8  3.211  346
30.1  2.968  201
31.9  2.804  172
33.5  2.678  334
37.2  2.418  294
43.7  2.070  213
46.9  1.938  183
56.7  1.624  170

Crystal structure
abc: 7.0321 3.4426 9.2159
angles: 90.00 104.95 90.00
Space group P2/m (No. 10)
Unique sites:
1 Na 0.1790 0.0000 0.2156 [2 per cell]
2 Pu 0.2224 0.5000 0.6408 [2 per cell]
3 Pu 0.5000 0.0000 0.0000 [1 per cell]
4 F 0.1397 0.5000 0.3777 [2 per cell]
5 F 0.1603 0.0000 0.8134 [2 per cell]
6 F 0.2881 0.5000 0.0786 [2 per cell]
7 F 0.4722 0.0000 0.7025 [2 per cell]


# 4
Simulated XRD peak list of NaPu4F10 for Cu Kα X-rays, from a structure optimized by DFT (GGA-PBE).

Main lines, low angle first (10° ≤ 2θ ≤ 90°):
2θ/deg  d_spacing  Rel. int.
26.4  3.378  1000
26.6  3.354  315
30.6  2.920  418
43.7  2.070  383
44.0  2.059  345
51.8  1.765  165
51.9  1.762  314
52.1  1.755  138
70.0  1.343  136
80.5  1.193  117

Crystal structure
abc: 4.1409 4.1409 50.3116
angles: 90.00 90.00 120.00
Space group R-3m (No. 166, hexagonal axes)
Unique sites:
1 Na 0.0000 0.0000 0.0000 [3 per cell]
2 Pu 0.0000 0.0000 0.2006 [6 per cell]
3 Pu 0.0000 0.0000 0.3965 [6 per cell]
4 F 0.0000 0.0000 0.0529 [6 per cell]
5 F 0.0000 0.0000 0.1495 [6 per cell]
6 F 0.0000 0.0000 0.2502 [6 per cell]
7 F 0.0000 0.0000 0.3521 [6 per cell]
8 F 0.0000 0.0000 0.4495 [6 per cell]


# 5
Simulated XRD peak list of RbNaPuF6 for Cu Kα X-rays, from a structure optimized by DFT (GGA-PBE).

Main lines, low angle first (10° ≤ 2θ ≤ 90°):
2θ/deg  d_spacing  Rel. int.
15.2  5.841  315
18.4  4.816  1000
22.7  3.920  857
28.5  3.135  311
29.3  3.052  386
33.1  2.705  219
37.3  2.408  207
42.9  2.110  511
48.1  1.891  224
51.9  1.762  175

Crystal structure
abc: 6.1044 6.1044 11.6817
angles: 90.00 90.00 120.00
Space group P-31c (No. 163)
Unique sites:
1 Rb 0.0000 0.0000 0.0000 [2 per cell]
2 Na 0.3333 0.6667 0.2500 [2 per cell]
3 Pu 0.3333 0.6667 0.7500 [2 per cell]
4 F 0.0246 0.3831 0.6491 [12 per cell]